No. 1
Structure and computed powder diffractogram of Ti3V5O16 (DFT lattice parameters and positions (PBE+U); λ = 1.5418 Å (Cu Kα)).

Main lines, sorted by position (10° ≤ 2θ ≤ 90°):
Position (°2θ), Rel. int., (hkl)
19.55, 100, 0 0 2
19.80, 89, 1 1 1
19.90, 59, 1 0 -1
20.04, 31, 1 1 -1
26.09, 25, 1 0 2
26.26, 25, 0 1 -2
36.11, 50, 1 -1 2
36.50, 24, 2 0 -1
40.29, 37, 0 2 -2
46.23, 29, 2 0 3
62.37, 39, 2 -2 0
63.11, 27, 4 2 0

Crystal structure
a = 5.8952 Å, b = 5.9334 Å, c = 9.0839 Å
α = 89.37°, β = 89.37°, γ = 60.42°
Space group P1 (No. 1)
Unique sites:
Ti: 0.0000 0.0000 0.0000 (multiplicity 1)
Ti: 0.1368 0.6889 0.5046 (multiplicity 1)
Ti: 0.4661 0.4753 0.0066 (multiplicity 1)
V: 0.1822 0.1649 0.5200 (multiplicity 1)
V: 0.5175 0.9630 0.0172 (multiplicity 1)
V: 0.6608 0.1610 0.2858 (multiplicity 1)
V: 0.6645 0.6418 0.5017 (multiplicity 1)
V: 0.9757 0.4921 0.7845 (multiplicity 1)
O: 0.0058 0.4897 0.4009 (multiplicity 1)
O: 0.1508 0.6528 0.8995 (multiplicity 1)
O: 0.1696 0.1555 0.9034 (multiplicity 1)
O: 0.2798 0.3434 0.6420 (multiplicity 1)
O: 0.3267 0.8069 0.1085 (multiplicity 1)
O: 0.3314 0.8201 0.6097 (multiplicity 1)
O: 0.3707 0.2927 0.1404 (multiplicity 1)
O: 0.5018 0.4877 0.4018 (multiplicity 1)
O: 0.5157 0.9946 0.4034 (multiplicity 1)
O: 0.6654 0.1479 0.8992 (multiplicity 1)
O: 0.6820 0.6328 0.9040 (multiplicity 1)
O: 0.7919 0.8635 0.1385 (multiplicity 1)
O: 0.8062 0.2823 0.1413 (multiplicity 1)
O: 0.8465 0.7712 0.6356 (multiplicity 1)
O: 0.8525 0.3457 0.6373 (multiplicity 1)
O: 0.9915 0.0063 0.4041 (multiplicity 1)

---

No. 2
Structure and computed powder diffractogram of TiVO4 (DFT lattice parameters and positions (PBE+U); λ = 1.5418 Å (Cu Kα)).

Main lines, sorted by position (10° ≤ 2θ ≤ 90°):
Position (°2θ), Rel. int., (hkl)
25.19, 100, 1 1 -1
36.46, 7, 1 1 1
36.99, 21, 0 0 2
38.30, 6, 0 2 1
47.95, 29, 2 2 -1
52.92, 20, 1 1 -3
54.92, 18, 1 3 0
61.99, 7, 2 2 1
62.13, 7, 2 2 -3
67.50, 5, 2 0 2
74.09, 6, 1 3 2
82.00, 4, 0 4 2

Crystal structure
a = 5.3651 Å, b = 5.3682 Å, c = 5.5444 Å
α = 90.00°, β = 118.77°, γ = 90.00°
Space group P2_1 (No. 4)
Unique sites:
Ti: 0.2418 0.0000 0.0043 (multiplicity 2)
V: 0.2521 0.7422 0.5094 (multiplicity 2)
O: 0.0351 0.0112 0.5807 (multiplicity 2)
O: 0.0385 0.7478 0.0756 (multiplicity 2)
O: 0.4504 0.7510 0.9012 (multiplicity 2)
O: 0.4507 0.9913 0.4159 (multiplicity 2)

---

No. 3
Structure and computed powder diffractogram of Ti3VO8 (DFT lattice parameters and positions (PBE+U); λ = 1.5418 Å (Cu Kα)).

Main lines, sorted by position (10° ≤ 2θ ≤ 90°):
Position (°2θ), Rel. int., (hkl)
19.71, 52, 0 0 2
19.85, 100, 1 0 1
26.28, 34, 1 0 2
34.57, 20, 1 0 3
36.22, 74, 1 1 2
40.33, 43, 2 0 2
46.44, 51, 2 0 3
54.08, 18, 2 0 4
56.30, 18, 2 1 3
62.43, 35, 2 2 0
62.94, 34, 2 0 5
66.17, 14, 2 2 2

Crystal structure
a = 5.9505 Å, b = 5.9505 Å, c = 9.0092 Å
α = 90.00°, β = 90.00°, γ = 120.00°
Space group P6_3mc (No. 186)
Unique sites:
Ti: 0.1668 0.3336 0.0000 (multiplicity 6)
V: 0.3333 0.6667 0.2761 (multiplicity 2)
O: 0.0000 0.0000 0.1031 (multiplicity 2)
O: 0.0496 0.5248 0.1301 (multiplicity 6)
O: 0.1697 0.3395 0.3952 (multiplicity 6)
O: 0.3333 0.6667 0.8887 (multiplicity 2)

---

No. 4
Structure and computed powder diffractogram of TiV15O24 (DFT lattice parameters and positions (PBE+U); λ = 1.5418 Å (Cu Kα)).

Main lines, sorted by position (10° ≤ 2θ ≤ 90°):
Position (°2θ), Rel. int., (hkl)
23.63, 51, 1 1 -1
32.38, 100, 1 1 3
34.91, 79, 0 2 -2
39.97, 31, 0 2 4
48.35, 41, 0 4 4
52.76, 77, 3 1 -1
61.00, 28, 1 -1 5
62.53, 14, 1 1 -5
62.64, 27, 1 -5 1
69.93, 16, 3 3 5
80.60, 8, 4 4 0
86.21, 10, 4 0 -4

Crystal structure
a = 5.5592 Å, b = 9.1490 Å, c = 9.1605 Å
α = 68.37°, β = 84.90°, γ = 84.85°
Space group P1 (No. 1)
Unique sites:
Ti: 0.0000 0.0000 0.0000 (multiplicity 1)
V: 0.0042 0.5012 0.5053 (multiplicity 1)
V: 0.0048 0.2526 0.2539 (multiplicity 1)
V: 0.0097 0.7551 0.7522 (multiplicity 1)
V: 0.4049 0.1064 0.1022 (multiplicity 1)
V: 0.4050 0.8524 0.8540 (multiplicity 1)
V: 0.4071 0.3528 0.3556 (multiplicity 1)
V: 0.4076 0.6031 0.6046 (multiplicity 1)
V: 0.5032 0.2521 0.7540 (multiplicity 1)
V: 0.5052 0.5057 0.0019 (multiplicity 1)
V: 0.5057 0.7517 0.2529 (multiplicity 1)
V: 0.5073 0.0019 0.5031 (multiplicity 1)
V: 0.9029 0.6001 0.1071 (multiplicity 1)
V: 0.9095 0.0999 0.6024 (multiplicity 1)
V: 0.9089 0.3549 0.8558 (multiplicity 1)
V: 0.9102 0.8531 0.3535 (multiplicity 1)
O: 0.0452 0.8095 0.9611 (multiplicity 1)
O: 0.0513 0.2020 0.0563 (multiplicity 1)
O: 0.0530 0.3010 0.4575 (multiplicity 1)
O: 0.0555 0.7041 0.5537 (multiplicity 1)
O: 0.2025 0.3992 0.7076 (multiplicity 1)
O: 0.2026 0.4549 0.1537 (multiplicity 1)
O: 0.2070 0.9574 0.6487 (multiplicity 1)
O: 0.2080 0.9018 0.2022 (multiplicity 1)
O: 0.3534 0.0570 0.9031 (multiplicity 1)
O: 0.3573 0.5518 0.4038 (multiplicity 1)
O: 0.3568 0.6479 0.8037 (multiplicity 1)
O: 0.3603 0.1501 0.3033 (multiplicity 1)
O: 0.5542 0.3045 0.9553 (multiplicity 1)
O: 0.5564 0.2049 0.5559 (multiplicity 1)
O: 0.5558 0.8030 0.4521 (multiplicity 1)
O: 0.5570 0.7042 0.0577 (multiplicity 1)
O: 0.7035 0.3991 0.2070 (multiplicity 1)
O: 0.7044 0.4528 0.6535 (multiplicity 1)
O: 0.7111 0.9027 0.7025 (multiplicity 1)
O: 0.7165 0.9591 0.1435 (multiplicity 1)
O: 0.8590 0.6512 0.3054 (multiplicity 1)
O: 0.8598 0.0517 0.3990 (multiplicity 1)
O: 0.8624 0.5546 0.9019 (multiplicity 1)
O: 0.8643 0.1440 0.8127 (multiplicity 1)

---

No. 5
Structure and computed powder diffractogram of TiVO4 (DFT lattice parameters and positions (PBE+U); λ = 1.5418 Å (Cu Kα)).

Main lines, sorted by position (10° ≤ 2θ ≤ 90°):
Position (°2θ), Rel. int., (hkl)
25.25, 100, 1 1 1
36.56, 7, 1 1 3
37.11, 21, 0 0 4
38.29, 4, 0 2 2
38.51, 4, 2 0 2
48.04, 29, 2 2 0
53.08, 20, 1 1 5
54.87, 9, 1 3 1
55.20, 9, 3 1 1
62.22, 15, 2 2 4
74.24, 6, 1 3 5
74.52, 6, 3 1 5

Crystal structure
a = 5.3375 Å, b = 5.3755 Å, c = 9.6910 Å
α = 90.00°, β = 90.00°, γ = 90.00°
Space group F222 (No. 22)
Unique sites:
Ti: 0.0000 0.0000 0.0000 (multiplicity 4)
V: 0.2500 0.2500 0.2500 (multiplicity 4)
O: 0.0000 0.0000 0.2101 (multiplicity 8)
O: 0.2500 0.2500 0.0446 (multiplicity 8)

---

No. 6
Structure and computed powder diffractogram of TiVO4 (DFT lattice parameters and positions (PBE+U); λ = 1.5418 Å (Cu Kα)).

Main lines, sorted by position (10° ≤ 2θ ≤ 90°):
Position (°2θ), Rel. int., (hkl)
25.19, 100, 1 0 1
36.49, 7, -2 2 1
37.05, 21, 2 0 -2
38.31, 8, -1 2 2
47.92, 29, 1 -4 1
52.98, 20, 3 0 -1
54.89, 18, 0 2 3
62.07, 15, -3 4 1
67.61, 7, -3 2 4
70.10, 7, 0 4 2
74.20, 10, 4 -4 0
82.04, 6, -2 4 4

Crystal structure
a = 5.5472 Å, b = 7.5915 Å, c = 7.7218 Å
α = 104.19°, β = 102.33°, γ = 110.06°
Space group P1 (No. 1)
Unique sites:
Ti: 0.0000 0.0000 0.0000 (multiplicity 1)
Ti: 0.0032 0.5110 0.9997 (multiplicity 1)
Ti: 0.4954 0.7564 0.4894 (multiplicity 1)
Ti: 0.5145 0.2559 0.5082 (multiplicity 1)
V: 0.3682 0.3158 0.8742 (multiplicity 1)
V: 0.3846 0.8205 0.8722 (multiplicity 1)
V: 0.8724 0.5677 0.3768 (multiplicity 1)
V: 0.8841 0.0698 0.3704 (multiplicity 1)
O: 0.0605 0.7678 0.9816 (multiplicity 1)
O: 0.0778 0.2671 0.9755 (multiplicity 1)
O: 0.1761 0.6971 0.5921 (multiplicity 1)
O: 0.1839 0.1235 0.2769 (multiplicity 1)
O: 0.1916 0.6171 0.2667 (multiplicity 1)
O: 0.1995 0.2102 0.6160 (multiplicity 1)
O: 0.3160 0.5667 0.8956 (multiplicity 1)
O: 0.3169 0.0503 0.8944 (multiplicity 1)
O: 0.5581 0.0148 0.4792 (multiplicity 1)
O: 0.5765 0.5179 0.4735 (multiplicity 1)
O: 0.6773 0.8668 0.7699 (multiplicity 1)
O: 0.6886 0.4533 0.1047 (multiplicity 1)
O: 0.6939 0.9555 0.1023 (multiplicity 1)
O: 0.6958 0.3722 0.7713 (multiplicity 1)
O: 0.8162 0.8165 0.3944 (multiplicity 1)
O: 0.8165 0.3006 0.3958 (multiplicity 1)

---

No. 7
Structure and computed powder diffractogram of TiVO4 (DFT lattice parameters and positions (PBE+U); λ = 1.5418 Å (Cu Kα)).

Main lines, sorted by position (10° ≤ 2θ ≤ 90°):
Position (°2θ), Rel. int., (hkl)
25.06, 100, 2 0 -2
25.24, 100, 0 2 1
37.07, 40, 0 0 4
38.27, 16, 2 2 1
47.62, 29, 4 0 -2
48.04, 28, 0 4 0
52.99, 39, 0 2 5
54.65, 19, 4 2 -1
54.94, 18, 2 4 -2
61.83, 18, 4 0 -6
67.61, 15, 2 2 5
69.97, 14, 4 4 -2

Crystal structure
a = 7.6378 Å, b = 7.5752 Å, c = 10.4246 Å
α = 90.00°, β = 111.49°, γ = 90.00°
Space group Cc (No. 9)
Unique sites:
Ti: 0.0000 0.1219 0.0000 (multiplicity 4)
Ti: 0.0029 0.3719 0.5008 (multiplicity 4)
V: 0.3717 0.3741 0.7476 (multiplicity 4)
V: 0.3727 0.1256 0.2499 (multiplicity 4)
O: 0.0922 0.3784 0.7046 (multiplicity 4)
O: 0.1143 0.1260 0.2067 (multiplicity 4)
O: 0.2709 0.3732 0.5419 (multiplicity 4)
O: 0.2725 0.1242 0.0464 (multiplicity 4)
O: 0.3970 0.1173 0.7918 (multiplicity 4)
O: 0.4007 0.3669 0.2913 (multiplicity 4)
O: 0.4752 0.1252 0.4512 (multiplicity 4)
O: 0.4756 0.3752 0.9584 (multiplicity 4)

---

No. 8
Structure and computed powder diffractogram of TiVO4 (DFT lattice parameters and positions (PBE+U); λ = 1.5418 Å (Cu Kα)).

Main lines, sorted by position (10° ≤ 2θ ≤ 90°):
Position (°2θ), Rel. int., (hkl)
24.75, 100, 1 0 -1
25.53, 42, 0 1 2
25.67, 60, 0 2 0
36.93, 42, 0 2 -4
46.93, 31, 2 -1 0
48.90, 26, 0 3 2
52.61, 16, 1 2 -5
53.26, 13, 0 4 -4
54.23, 21, 2 1 0
55.49, 13, 1 2 3
61.17, 16, 2 1 -4
70.11, 14, 2 2 2

Crystal structure
a = 3.8717 Å, b = 7.6311 Å, c = 10.4520 Å
α = 109.24°, β = 90.01°, γ = 104.69°
Space group P1 (No. 1)
Unique sites:
Ti: 0.0000 0.0000 0.0000 (multiplicity 1)
Ti: 0.2498 0.4994 0.2502 (multiplicity 1)
Ti: 0.4997 0.9992 0.5000 (multiplicity 1)
Ti: 0.7498 0.4995 0.7499 (multiplicity 1)
V: 0.2005 0.4012 0.9383 (multiplicity 1)
V: 0.4506 0.9009 0.1883 (multiplicity 1)
V: 0.7002 0.4004 0.4384 (multiplicity 1)
V: 0.9506 0.9006 0.6885 (multiplicity 1)
O: 0.0583 0.1138 0.8373 (multiplicity 1)
O: 0.1389 0.2792 0.0878 (multiplicity 1)
O: 0.2005 0.4014 0.3991 (multiplicity 1)
O: 0.2433 0.4864 0.7821 (multiplicity 1)
O: 0.3063 0.6143 0.0871 (multiplicity 1)
O: 0.3895 0.7785 0.3381 (multiplicity 1)
O: 0.4512 0.9016 0.6493 (multiplicity 1)
O: 0.4928 0.9861 0.0323 (multiplicity 1)
O: 0.5576 0.1137 0.3373 (multiplicity 1)
O: 0.6390 0.2782 0.5880 (multiplicity 1)
O: 0.7007 0.4018 0.8988 (multiplicity 1)
O: 0.7430 0.4852 0.2826 (multiplicity 1)
O: 0.8061 0.6136 0.5874 (multiplicity 1)
O: 0.8899 0.7789 0.8383 (multiplicity 1)
O: 0.9514 0.9022 0.1495 (multiplicity 1)
O: 0.9924 0.9848 0.5322 (multiplicity 1)

---

No. 9
Structure and computed powder diffractogram of Ti3V2O9 (DFT lattice parameters and positions (PBE+U); λ = 1.5418 Å (Cu Kα)).

Main lines, sorted by position (10° ≤ 2θ ≤ 90°):
Position (°2θ), Rel. int., (hkl)
20.98, 51, 1 1 -1
22.05, 24, 1 1 1
26.22, 80, 0 0 2
29.48, 100, 5 1 0
30.67, 44, 1 1 -2
33.05, 38, 0 2 0
35.66, 35, 0 2 1
36.66, 24, 5 1 -2
39.45, 24, 8 0 0
42.68, 35, 1 1 -3
52.40, 40, 10 0 -2
56.04, 41, 1 1 -4

Crystal structure
a = 18.5764 Å, b = 5.4207 Å, c = 6.9139 Å
α = 90.00°, β = 100.38°, γ = 90.00°
Space group C2/c (No. 15)
Unique sites:
Ti: 0.0000 0.0000 0.0000 (multiplicity 4)
Ti: 0.1985 0.0805 0.0355 (multiplicity 8)
V: 0.0730 0.4622 0.8891 (multiplicity 8)
O: 0.0000 0.1854 0.2500 (multiplicity 4)
O: 0.0430 0.3436 0.6128 (multiplicity 8)
O: 0.0916 0.1320 0.9875 (multiplicity 8)
O: 0.1927 0.3989 0.9358 (multiplicity 8)
O: 0.1956 0.1022 0.3083 (multiplicity 8)

---

No. 10
Structure and computed powder diffractogram of TiVO4 (DFT lattice parameters and positions (PBE+U); λ = 1.5418 Å (Cu Kα)).

Main lines, sorted by position (10° ≤ 2θ ≤ 90°):
Position (°2θ), Rel. int., (hkl)
22.21, 23, 0 1 1
22.43, 100, 1 1 -1
31.57, 56, 2 1 -1
34.18, 41, 1 1 -3
35.52, 15, 1 0 2
40.50, 23, 1 1 2
41.53, 15, 3 1 -2
41.70, 14, 2 1 -4
53.16, 29, 1 2 2
53.97, 26, 3 2 -2
54.13, 25, 2 2 -4
57.06, 18, 4 1 -5

Crystal structure
a = 7.4469 Å, b = 4.7106 Å, c = 9.7620 Å
α = 90.00°, β = 128.98°, γ = 90.00°
Space group P2_1/c (No. 14)
Unique sites:
Ti: 0.1011 0.0268 0.1846 (multiplicity 4)
V: 0.3679 0.0065 0.5802 (multiplicity 4)
O: 0.1153 0.7140 0.8557 (multiplicity 4)
O: 0.1270 0.2176 0.0197 (multiplicity 4)
O: 0.3712 0.1855 0.3947 (multiplicity 4)
O: 0.3785 0.7473 0.7225 (multiplicity 4)